Structure and simulated powder diffractogram of PmCd6Pd (the PBE geometry in Alexandria; CuKα).
Intensities are scaled so that the largest is 100.

Atomic structure:
```
PmCd6Pd
1.0
4.8419 0.0000 0.0000
0.0000 5.8328 0.0000
0.0000 0.0000 13.0893
Pm Cd Pd
2 12 2
Direct
0.0000 0.0000 0.0000
0.0000 0.5000 0.5000
0.0000 0.2437 0.7361
0.0000 0.2563 0.2361
0.0000 0.7437 0.2361
0.0000 0.7563 0.7361
0.5000 0.0000 0.1602
0.5000 0.0000 0.5810
0.5000 0.2477 0.8771
0.5000 0.2523 0.3771
0.5000 0.5000 0.0810
0.5000 0.5000 0.6602
0.5000 0.7477 0.3771
0.5000 0.7523 0.8771
0.0000 0.0000 0.4280
0.0000 0.5000 0.9280
```

Largest 10 diffraction maxima, low angle first, 2θ from 10° to 90°:
d = 2.833 Å, 31.58 deg, I = 38
d = 2.711 Å, 33.04 deg, I = 79
d = 2.664 Å, 33.64 deg, I = 43
d = 2.421 Å, 37.14 deg, I = 50
d = 2.388 Å, 37.66 deg, I = 13
d = 2.334 Å, 38.57 deg, I = 100
d = 1.792 Å, 50.97 deg, I = 26
d = 1.380 Å, 67.90 deg, I = 18
d = 1.284 Å, 73.78 deg, I = 14
d = 1.249 Å, 76.22 deg, I = 11